# 1
BaNi2N2: simulated powder X-ray diffraction pattern (CuKα), based on the PBE geometry in the Materials Project.

Top 10 peaks for 10 to 90 degrees two-theta, low angle first:
2θ/deg, d_spacing, intensity
20.28, 4.379, 12
28.86, 3.093, 100
33.95, 2.641, 16
35.53, 2.527, 30
41.21, 2.190, 8
41.35, 2.184, 17
46.35, 1.959, 36
51.16, 1.786, 8
63.80, 1.459, 36
67.65, 1.385, 14

Crystal structure
a = 6.186 Å, b = 6.186 Å, c = 6.186 Å
α = 119.90°, β = 119.90°, γ = 90.18°
Atoms (fractional coordinates):
1 Ba 0.250 0.250 0.000
2 Ba 0.750 0.750 0.000
3 Ni 0.131 0.631 0.762
4 Ni 0.369 0.131 0.500
5 Ni 0.631 0.869 0.500
6 Ni 0.869 0.369 0.238
7 N 0.168 0.332 0.500
8 N 0.332 0.832 0.165
9 N 0.668 0.168 0.835
10 N 0.832 0.668 0.500

=====

# 2
Ba3NiN3: simulated powder X-ray diffraction pattern (CuKα), based on the PBE geometry in the Materials Project.

Top 10 peaks for 10 to 90 degrees two-theta, low angle first:
2θ/deg, d_spacing, intensity
27.20, 3.278, 100
30.14, 2.965, 65
31.46, 2.843, 45
34.12, 2.628, 31
38.85, 2.318, 21
47.11, 1.929, 43
50.85, 1.796, 18
53.46, 1.714, 16
57.79, 1.595, 15
60.25, 1.536, 15

Crystal structure
a = 8.014 Å, b = 5.686 Å, c = 8.027 Å
α = 90.00°, β = 119.92°, γ = 90.00°
Atoms (fractional coordinates):
1 Ba 0.081 0.250 0.217
2 Ba 0.283 0.250 0.865
3 Ba 0.363 0.750 0.579
4 Ba 0.637 0.250 0.421
5 Ba 0.717 0.750 0.135
6 Ba 0.919 0.750 0.783
7 Ni 0.332 0.750 0.166
8 Ni 0.668 0.250 0.834
9 N 0.118 0.750 0.185
10 N 0.314 0.750 0.934
11 N 0.436 0.250 0.619
12 N 0.564 0.750 0.381
13 N 0.686 0.250 0.066
14 N 0.882 0.250 0.815

=====

# 3
BaNiN: simulated powder X-ray diffraction pattern (CuKα), based on the PBE geometry in the Materials Project.

Top 10 peaks for 10 to 90 degrees two-theta, low angle first:
2θ/deg, d_spacing, intensity
26.69, 3.340, 10
27.01, 3.302, 34
31.84, 2.810, 16
32.08, 2.790, 100
32.86, 2.725, 23
41.97, 2.153, 8
45.61, 1.989, 8
46.41, 1.957, 12
56.82, 1.620, 8
58.18, 1.586, 13

Crystal structure
a = 9.751 Å, b = 13.757 Å, c = 5.451 Å
α = 90.00°, β = 90.00°, γ = 90.00°
Atoms (fractional coordinates):
1 Ba 0.005 0.250 0.023
2 Ba 0.174 0.088 0.472
3 Ba 0.174 0.412 0.472
4 Ba 0.326 0.588 0.972
5 Ba 0.326 0.912 0.972
6 Ba 0.495 0.750 0.523
7 Ba 0.505 0.250 0.477
8 Ba 0.674 0.088 0.028
9 Ba 0.674 0.412 0.028
10 Ba 0.826 0.588 0.528
11 Ba 0.826 0.912 0.528
12 Ba 0.995 0.750 0.977
13 Ni 0.000 0.000 0.000
14 Ni 0.000 0.500 0.000
15 Ni 0.143 0.662 0.438
16 Ni 0.143 0.838 0.438
17 Ni 0.357 0.162 0.938
18 Ni 0.357 0.338 0.938
19 Ni 0.500 0.000 0.500
20 Ni 0.500 0.500 0.500
21 Ni 0.643 0.662 0.062
22 Ni 0.643 0.838 0.062
23 Ni 0.857 0.162 0.562
24 Ni 0.857 0.338 0.562
25 N 0.072 0.576 0.225
26 N 0.072 0.924 0.225
27 N 0.220 0.750 0.651
28 N 0.280 0.250 0.151
29 N 0.428 0.076 0.725
30 N 0.428 0.424 0.725
31 N 0.572 0.576 0.275
32 N 0.572 0.924 0.275
33 N 0.720 0.750 0.849
34 N 0.780 0.250 0.349
35 N 0.928 0.076 0.775
36 N 0.928 0.424 0.775

=====

# 4
Ba3P6N8O6: simulated powder X-ray diffraction pattern (CuKα), based on the PBE geometry in the Materials Project.

Top 10 peaks for 10 to 90 degrees two-theta, low angle first:
2θ/deg, d_spacing, intensity
23.81, 3.737, 47
27.61, 3.231, 100
30.94, 2.890, 43
31.09, 2.877, 56
41.87, 2.158, 27
44.28, 2.045, 23
46.67, 1.946, 27
48.73, 1.869, 16
57.17, 1.611, 16
69.77, 1.348, 16

Crystal structure
a = 7.475 Å, b = 7.475 Å, c = 6.423 Å
α = 90.00°, β = 90.00°, γ = 120.00°
Atoms (fractional coordinates):
1 Ba 0.000 0.000 0.000
2 Ba 0.333 0.667 0.116
3 Ba 0.667 0.333 0.884
4 P 0.176 0.400 0.602
5 P 0.224 0.824 0.602
6 P 0.400 0.224 0.398
7 P 0.600 0.776 0.602
8 P 0.776 0.176 0.398
9 P 0.824 0.600 0.398
10 N 0.022 0.329 0.403
11 N 0.307 0.978 0.403
12 N 0.329 0.307 0.597
13 N 0.333 0.667 0.571
14 N 0.667 0.333 0.429
15 N 0.671 0.693 0.403
16 N 0.693 0.022 0.597
17 N 0.978 0.671 0.597
18 O 0.078 0.368 0.820
19 O 0.290 0.922 0.820
20 O 0.368 0.290 0.180
21 O 0.632 0.710 0.820
22 O 0.710 0.078 0.180
23 O 0.922 0.632 0.180

=====

# 5
Ba3Si6N2O12: simulated powder X-ray diffraction pattern (CuKα), based on the PBE geometry in the Materials Project.

Top 10 peaks for 10 to 90 degrees two-theta, low angle first:
2θ/deg, d_spacing, intensity
23.42, 3.798, 40
27.09, 3.292, 100
30.34, 2.946, 76
36.08, 2.489, 24
38.69, 2.328, 19
41.17, 2.193, 28
43.46, 2.082, 29
45.70, 1.985, 19
49.94, 1.826, 31
66.66, 1.403, 20

Crystal structure
a = 7.596 Å, b = 7.596 Å, c = 6.596 Å
α = 90.00°, β = 90.00°, γ = 120.00°
Atoms (fractional coordinates):
1 Ba 0.000 0.000 0.000
2 Ba 0.333 0.667 0.102
3 Ba 0.667 0.333 0.898
4 Si 0.171 0.408 0.610
5 Si 0.236 0.829 0.610
6 Si 0.408 0.236 0.390
7 Si 0.592 0.764 0.610
8 Si 0.764 0.171 0.390
9 Si 0.829 0.592 0.390
10 N 0.333 0.667 0.563
11 N 0.667 0.333 0.437
12 O 0.015 0.318 0.411
13 O 0.064 0.362 0.828
14 O 0.298 0.936 0.828
15 O 0.304 0.985 0.411
16 O 0.318 0.304 0.589
17 O 0.362 0.298 0.172
18 O 0.638 0.702 0.828
19 O 0.682 0.696 0.411
20 O 0.696 0.015 0.589
21 O 0.702 0.064 0.172
22 O 0.936 0.638 0.172
23 O 0.985 0.682 0.589

=====

# 6
BaSi2N2O2: simulated powder X-ray diffraction pattern (CuKα), based on the PBE geometry in the Materials Project.

Top 10 peaks for 10 to 90 degrees two-theta, low angle first:
2θ/deg, d_spacing, intensity
12.16, 7.278, 32
24.46, 3.639, 35
25.36, 3.512, 47
30.83, 2.901, 100
33.25, 2.694, 27
35.53, 2.527, 18
36.81, 2.442, 26
39.74, 2.268, 30
50.44, 1.809, 14
50.63, 1.803, 31

Crystal structure
a = 7.760 Å, b = 7.760 Å, c = 4.883 Å
α = 90.00°, β = 90.00°, γ = 40.63°
Atoms (fractional coordinates):
1 Ba 0.244 0.756 0.500
2 Ba 0.756 0.244 0.000
3 Si 0.138 0.461 0.045
4 Si 0.461 0.138 0.545
5 Si 0.539 0.862 0.045
6 Si 0.862 0.539 0.545
7 N 0.148 0.408 0.398
8 N 0.408 0.148 0.898
9 N 0.592 0.852 0.398
10 N 0.852 0.592 0.898
11 O 0.168 0.646 0.995
12 O 0.354 0.832 0.995
13 O 0.646 0.168 0.495
14 O 0.832 0.354 0.495